[1]
# Nb6AlCo
Theoretical powder diffractogram, copper Kα. Input: the PBE geometry in Alexandria.
Peak positions follow from Bragg's law for the DFT cell and can differ from measured ones.

Top 10 peaks for 10° ≤ 2θ ≤ 90°, by angle:
d/Å  2θ/deg  I/Imax
3.642  24.44  12.3
2.575  34.84  18.5
2.303  39.11  100.0
2.103  43.02  40.2
1.487  62.47  13.0
1.428  65.33  21.0
1.376  68.12  19.5
1.288  73.56  10.9
1.152  84.04  5.4
1.124  86.62  19.3

Structural model:
Unit cell a=5.150 b=5.150 c=5.150 alpha=89.98 beta=89.98 gamma=89.98
Atoms (fractional coordinates):
Nb 0.000 0.254 0.499
Nb 0.000 0.746 0.501
Nb 0.254 0.499 0.000
Nb 0.499 0.000 0.254
Nb 0.501 0.000 0.746
Nb 0.746 0.501 0.000
Al 0.000 0.000 0.000
Co 0.500 0.500 0.500


[2]
# NbAlCoOs2
Theoretical powder diffractogram, copper Kα. Input: the PBE geometry in Alexandria.
Peak positions follow from Bragg's law for the DFT cell and can differ from measured ones.

Top 10 peaks for 10° ≤ 2θ ≤ 90°, by angle:
d/Å  2θ/deg  I/Imax
4.101  21.67  20.4
3.128  28.53  12.4
2.487  36.11  100.0
2.212  40.79  43.7
2.050  44.17  17.4
1.947  46.66  11.6
1.564  59.06  14.7
1.504  61.68  25.7
1.324  71.22  27.3
1.244  76.62  13.6

Structural model:
Unit cell a=4.424 b=4.424 c=4.101 alpha=90.00 beta=90.00 gamma=90.00
Atoms (fractional coordinates):
Nb 0.000 0.000 0.000
Al 0.500 0.500 0.500
Co 0.500 0.500 0.000
Os 0.000 0.500 0.500
Os 0.500 0.000 0.500


[3]
# Nd7Al7Co6
Theoretical powder diffractogram, copper Kα. Input: the PBE geometry in Alexandria.
Peak positions follow from Bragg's law for the DFT cell and can differ from measured ones.

Top 10 peaks for 10° ≤ 2θ ≤ 90°, by angle:
d/Å  2θ/deg  I/Imax
3.840  23.17  28.0
3.461  25.74  36.9
2.665  33.63  100.0
2.571  34.89  54.0
2.487  36.12  24.4
2.448  36.71  21.3
2.308  39.03  47.3
2.277  39.59  36.4
2.087  43.36  34.8
1.558  59.32  22.4

Structural model:
Unit cell a=13.848 b=13.848 c=4.174 alpha=90.00 beta=90.00 gamma=90.00
Atoms (fractional coordinates):
Nd 0.000 0.000 0.000
Nd 0.048 0.261 0.000
Nd 0.132 0.632 0.500
Nd 0.239 0.452 0.000
Nd 0.261 0.952 0.000
Nd 0.368 0.132 0.500
Nd 0.452 0.761 0.000
Nd 0.500 0.500 0.000
Nd 0.548 0.239 0.000
Nd 0.632 0.868 0.500
Nd 0.739 0.048 0.000
Nd 0.761 0.548 0.000
Nd 0.868 0.368 0.500
Nd 0.952 0.739 0.000
Al 0.000 0.500 0.000
Al 0.098 0.861 0.500
Al 0.139 0.098 0.500
Al 0.215 0.285 0.500
Al 0.285 0.785 0.500
Al 0.361 0.598 0.500
Al 0.402 0.361 0.500
Al 0.500 0.000 0.000
Al 0.598 0.639 0.500
Al 0.639 0.402 0.500
Al 0.715 0.215 0.500
Al 0.785 0.715 0.500
Al 0.861 0.902 0.500
Al 0.902 0.139 0.500
Co 0.073 0.427 0.500
Co 0.165 0.789 0.000
Co 0.211 0.165 0.000
Co 0.289 0.665 0.000
Co 0.335 0.289 0.000
Co 0.427 0.927 0.500
Co 0.573 0.073 0.500
Co 0.665 0.711 0.000
Co 0.711 0.335 0.000
Co 0.789 0.835 0.000
Co 0.835 0.211 0.000
Co 0.927 0.573 0.500


[4]
# AlCoNi6
Theoretical powder diffractogram, copper Kα. Input: the PBE geometry in Alexandria.
Peak positions follow from Bragg's law for the DFT cell and can differ from measured ones.

Top 10 peaks for 10° ≤ 2θ ≤ 90°, by angle:
d/Å  2θ/deg  I/Imax
5.782  15.32  1.4
4.487  19.79  0.8
3.787  23.49  0.8
3.543  25.14  2.5
2.505  35.84  2.1
2.046  44.28  100.0
1.773  51.55  31.0
1.769  51.68  15.4
1.254  75.85  4.5
1.252  75.99  22.3

Structural model:
Unit cell a=6.139 b=6.139 c=10.023 alpha=90.00 beta=90.00 gamma=109.63
Atoms (fractional coordinates):
Al 0.000 0.000 0.250
Al 0.000 0.000 0.750
Al 0.248 0.752 0.000
Al 0.752 0.248 0.000
Co 0.248 0.752 0.500
Co 0.500 0.500 0.251
Co 0.500 0.500 0.749
Co 0.752 0.248 0.500
Ni 0.000 0.000 0.000
Ni 0.000 0.000 0.500
Ni 0.127 0.378 0.376
Ni 0.127 0.378 0.624
Ni 0.129 0.377 0.126
Ni 0.129 0.377 0.874
Ni 0.251 0.749 0.253
Ni 0.251 0.749 0.747
Ni 0.377 0.129 0.126
Ni 0.377 0.129 0.874
Ni 0.378 0.127 0.376
Ni 0.378 0.127 0.624
Ni 0.500 0.500 0.000
Ni 0.500 0.500 0.500
Ni 0.622 0.873 0.376
Ni 0.622 0.873 0.624
Ni 0.623 0.871 0.126
Ni 0.623 0.871 0.874
Ni 0.749 0.251 0.253
Ni 0.749 0.251 0.747
Ni 0.871 0.623 0.126
Ni 0.871 0.623 0.874
Ni 0.873 0.622 0.376
Ni 0.873 0.622 0.624


[5]
# AlCoNi14
Theoretical powder diffractogram, copper Kα. Input: the PBE geometry in Alexandria.
Peak positions follow from Bragg's law for the DFT cell and can differ from measured ones.

Top 10 peaks for 10° ≤ 2θ ≤ 90°, by angle:
d/Å  2θ/deg  I/Imax
8.156  10.85  1.7
2.161  41.81  10.3
2.089  43.32  39.9
2.039  44.43  35.7
1.909  47.63  100.0
1.692  54.23  19.7
1.483  62.65  5.7
1.302  72.62  7.7
1.247  76.34  19.0
1.151  84.14  16.9

Structural model:
Unit cell a=8.156 b=4.990 c=4.990 alpha=60.01 beta=90.00 gamma=90.00
Atoms (fractional coordinates):
Al 0.000 0.000 0.000
Co 0.000 0.500 0.500
Ni 0.000 0.001 0.500
Ni 0.000 0.500 0.001
Ni 0.249 0.334 0.334
Ni 0.250 0.335 0.832
Ni 0.250 0.832 0.335
Ni 0.251 0.833 0.833
Ni 0.500 0.166 0.667
Ni 0.500 0.167 0.167
Ni 0.500 0.666 0.666
Ni 0.500 0.667 0.166
Ni 0.749 0.833 0.833
Ni 0.750 0.335 0.832
Ni 0.750 0.832 0.335
Ni 0.751 0.334 0.334


[6]
# Ta2Al2CoNi7
Theoretical powder diffractogram, copper Kα. Input: the PBE geometry in Alexandria.
Peak positions follow from Bragg's law for the DFT cell and can differ from measured ones.

Top 10 peaks for 10° ≤ 2θ ≤ 90°, by angle:
d/Å  2θ/deg  I/Imax
3.260  27.36  48.6
3.114  28.67  58.3
2.595  34.56  22.4
2.327  38.70  28.0
2.319  38.83  26.6
2.100  43.07  30.2
2.085  43.40  59.0
1.967  46.14  100.0
1.640  56.08  45.7
1.289  73.46  24.3

Structural model:
Unit cell a=15.035 b=15.035 c=15.035 alpha=167.48 beta=167.48 gamma=17.75
Atoms (fractional coordinates):
Ta 0.131 0.131 0.000
Ta 0.869 0.869 0.000
Al 0.309 0.309 0.000
Al 0.691 0.691 0.000
Co 0.500 0.500 0.000
Ni 0.000 0.000 0.000
Ni 0.064 0.564 0.500
Ni 0.226 0.226 0.000
Ni 0.436 0.936 0.500
Ni 0.564 0.064 0.500
Ni 0.774 0.774 0.000
Ni 0.936 0.436 0.500